Computed X-ray powder pattern of Ba6LiNb2IrCl2O12 for λ = 1.5418 Å (Cu Kα), from DFT lattice parameters and positions (GGA-PBE).
Kinematic intensities with the Lorentz-polarization factor, no thermal factor.

Peak list (10 most intense, 2θ from 10° to 90°, by angle)
2theta  I/Imax
17.69  49.2
18.26  29.6
23.89  31.1
25.16  25.7
28.42  48.5
29.30  100.0
29.80  66.4
30.40  48.0
43.08  23.8
44.67  26.9

Atomic structure:
```
data_Ba6LiNb2IrCl2O12
_symmetry_space_group_name_H-M 'P 1'
_symmetry_Int_Tables_number 1
_cell_length_a 6.1224
_cell_length_b 6.1224
_cell_length_c 15.2194
_cell_angle_alpha 95.15
_cell_angle_beta 95.15
_cell_angle_gamma 58.64
loop_
_symmetry_equiv_pos_as_xyz
'x,y,z'
loop_
_atom_site_label
_atom_site_fract_x
_atom_site_fract_y
_atom_site_fract_z
_atom_site_occupancy
Ba1 0.1483 0.1483 0.2170 1
Ba2 0.1707 0.1707 0.6366 1
Ba3 0.2165 0.2165 0.9012 1
Ba4 0.7835 0.7835 0.0988 1
Ba5 0.8293 0.8293 0.3634 1
Ba6 0.8517 0.8517 0.7830 1
Li1 0.0000 0.0000 0.0000 1
Nb1 0.4710 0.4710 0.1811 1
Nb2 0.5290 0.5290 0.8189 1
Ir1 0.5000 0.5000 0.0000 1
Cl1 0.1553 0.1553 0.4242 1
Cl2 0.8447 0.8447 0.5758 1
O1 0.1520 0.6257 0.2394 1
O2 0.2016 0.7053 0.9087 1
O3 0.2947 0.7984 0.0913 1
O4 0.3384 0.3384 0.0694 1
O5 0.3622 0.3622 0.7552 1
O6 0.3743 0.8480 0.7606 1
O7 0.6257 0.1520 0.2394 1
O8 0.6378 0.6378 0.2448 1
O9 0.6616 0.6616 0.9306 1
O10 0.7053 0.2016 0.9087 1
O11 0.7984 0.2947 0.0913 1
O12 0.8480 0.3743 0.7606 1
```



Computed X-ray powder pattern of Pr6Si4S17 for λ = 1.5418 Å (Cu Kα), from DFT lattice parameters and positions (GGA-PBE).
Kinematic intensities with the Lorentz-polarization factor, no thermal factor.

Peak list (10 most intense, 2θ from 10° to 90°, by angle)
2theta  I/Imax
13.23  43.9
20.28  72.5
20.70  71.8
21.64  48.5
21.86  100.0
22.12  43.4
22.49  41.5
32.90  54.3
34.61  53.7
37.25  51.9

Atomic structure:
```
data_Pr6Si4S17
_symmetry_space_group_name_H-M 'P 1'
_symmetry_Int_Tables_number 1
_cell_length_a 9.0411
_cell_length_b 10.0755
_cell_length_c 14.3808
_cell_angle_alpha 81.99
_cell_angle_beta 86.88
_cell_angle_gamma 89.32
loop_
_symmetry_equiv_pos_as_xyz
'x,y,z'
loop_
_atom_site_label
_atom_site_fract_x
_atom_site_fract_y
_atom_site_fract_z
_atom_site_occupancy
Pr1 0.0187 0.2692 0.4595 1
Pr2 0.0836 0.5801 0.1657 1
Pr3 0.1066 0.8850 0.8165 1
Pr4 0.3318 0.9112 0.3422 1
Pr5 0.3700 0.5660 0.6754 1
Pr6 0.4482 0.2385 0.0012 1
Pr7 0.5518 0.7615 0.9988 1
Pr8 0.6300 0.4340 0.3246 1
Pr9 0.6682 0.0888 0.6578 1
Pr10 0.8934 0.1150 0.1835 1
Pr11 0.9164 0.4199 0.8343 1
Pr12 0.9813 0.7308 0.5405 1
Si1 0.2307 0.9376 0.0988 1
Si2 0.2490 0.9994 0.5838 1
Si3 0.2509 0.5601 0.9228 1
Si4 0.2747 0.5586 0.3944 1
Si5 0.7253 0.4414 0.6056 1
Si6 0.7491 0.4399 0.0772 1
Si7 0.7510 0.0006 0.4162 1
Si8 0.7693 0.0624 0.9012 1
S1 0.0095 0.8722 0.1145 1
S2 0.0153 0.9920 0.6232 1
S3 0.0414 0.6475 0.9518 1
S4 0.0692 0.6433 0.7221 1
S5 0.1075 0.7013 0.3456 1
S6 0.1847 0.4814 0.5322 1
S7 0.2471 0.1129 0.1670 1
S8 0.2579 0.3859 0.8513 1
S9 0.2967 0.8078 0.5407 1
S10 0.3001 0.4116 0.3034 1
S11 0.3060 0.1328 0.4613 1
S12 0.3213 0.9814 0.9570 1
S13 0.3404 0.5014 0.0564 1
S14 0.3552 0.0292 0.7062 1
S15 0.3666 0.7824 0.1663 1
S16 0.3831 0.7125 0.8391 1
S17 0.4824 0.6536 0.3965 1
S18 0.5177 0.3464 0.6035 1
S19 0.6169 0.2875 0.1609 1
S20 0.6334 0.2176 0.8337 1
S21 0.6448 0.9708 0.2938 1
S22 0.6596 0.4986 0.9436 1
S23 0.6787 0.0186 0.0430 1
S24 0.6940 0.8672 0.5387 1
S25 0.6999 0.5884 0.6966 1
S26 0.7033 0.1922 0.4593 1
S27 0.7421 0.6141 0.1487 1
S28 0.7529 0.8871 0.8330 1
S29 0.8153 0.5186 0.4678 1
S30 0.8925 0.2987 0.6544 1
S31 0.9308 0.3567 0.2779 1
S32 0.9586 0.3525 0.0482 1
S33 0.9847 0.0080 0.3768 1
S34 0.9905 0.1278 0.8855 1
```



Computed X-ray powder pattern of NbSiPt for λ = 1.5418 Å (Cu Kα), from DFT lattice parameters and positions (GGA-PBE).
Kinematic intensities with the Lorentz-polarization factor, no thermal factor.

Peak list (10 most intense, 2θ from 10° to 90°, by angle)
2theta  I/Imax
27.67  35.8
29.50  81.5
36.19  76.7
36.31  100.0
38.22  47.0
43.41  42.8
43.60  51.7
47.11  42.8
66.13  30.1
71.24  32.7

Atomic structure:
```
data_NbSiPt
_symmetry_space_group_name_H-M 'P 1'
_symmetry_Int_Tables_number 1
_cell_length_a 6.4859
_cell_length_b 3.8579
_cell_length_c 7.4323
_cell_angle_alpha 90.00
_cell_angle_beta 90.00
_cell_angle_gamma 90.00
loop_
_symmetry_equiv_pos_as_xyz
'x,y,z'
loop_
_atom_site_label
_atom_site_fract_x
_atom_site_fract_y
_atom_site_fract_z
_atom_site_occupancy
Nb1 0.0267 0.2500 0.1651 1
Nb2 0.4733 0.7500 0.6651 1
Nb3 0.5267 0.2500 0.3349 1
Nb4 0.9733 0.7500 0.8349 1
Si1 0.2312 0.7500 0.3741 1
Si2 0.2688 0.2500 0.8741 1
Si3 0.7312 0.7500 0.1259 1
Si4 0.7688 0.2500 0.6259 1
Pt1 0.1520 0.2500 0.5652 1
Pt2 0.3480 0.7500 0.0652 1
Pt3 0.6520 0.2500 0.9348 1
Pt4 0.8480 0.7500 0.4348 1
```



Computed X-ray powder pattern of CeZnNi2 for λ = 1.5418 Å (Cu Kα), from DFT lattice parameters and positions (GGA-PBE).
Kinematic intensities with the Lorentz-polarization factor, no thermal factor.

Peak list (10 most intense, 2θ from 10° to 90°, by angle)
2theta  I/Imax
33.74  68.0
34.01  58.0
39.48  13.5
39.88  39.9
40.75  100.0
42.96  31.2
60.70  24.0
65.45  23.4
67.48  20.5
71.60  29.6

Atomic structure:
```
data_CeZnNi2
_symmetry_space_group_name_H-M 'P 1'
_symmetry_Int_Tables_number 1
_cell_length_a 5.2716
_cell_length_b 5.2716
_cell_length_c 16.3330
_cell_angle_alpha 90.00
_cell_angle_beta 90.00
_cell_angle_gamma 120.00
loop_
_symmetry_equiv_pos_as_xyz
'x,y,z'
loop_
_atom_site_label
_atom_site_fract_x
_atom_site_fract_y
_atom_site_fract_z
_atom_site_occupancy
Ce1 0.3333 0.6667 0.0456 1
Ce2 0.3333 0.6667 0.2500 1
Ce3 0.3333 0.6667 0.4544 1
Ce4 0.6667 0.3333 0.5456 1
Ce5 0.6667 0.3333 0.7500 1
Ce6 0.6667 0.3333 0.9544 1
Zn1 0.0000 0.0000 0.0000 1
Zn2 0.0000 0.0000 0.2500 1
Zn3 0.0000 0.0000 0.5000 1
Zn4 0.0000 0.0000 0.7500 1
Zn5 0.3333 0.6667 0.7500 1
Zn6 0.6667 0.3333 0.2500 1
Ni1 0.1681 0.3363 0.6254 1
Ni2 0.1681 0.3363 0.8746 1
Ni3 0.1681 0.8319 0.6254 1
Ni4 0.1681 0.8319 0.8746 1
Ni5 0.3363 0.1681 0.1254 1
Ni6 0.3363 0.1681 0.3746 1
Ni7 0.6637 0.8319 0.6254 1
Ni8 0.6637 0.8319 0.8746 1
Ni9 0.8319 0.1681 0.1254 1
Ni10 0.8319 0.1681 0.3746 1
Ni11 0.8319 0.6637 0.1254 1
Ni12 0.8319 0.6637 0.3746 1
```



Computed X-ray powder pattern of KDyH2S2O9 for λ = 1.5418 Å (Cu Kα), from DFT lattice parameters and positions (GGA-PBE).
Kinematic intensities with the Lorentz-polarization factor, no thermal factor.

Peak list (10 most intense, 2θ from 10° to 90°, by angle)
2theta  I/Imax
13.90  100.0
14.18  64.1
20.11  43.1
26.39  53.0
27.74  39.3
28.18  22.3
28.87  54.3
32.03  20.6
34.29  17.3
45.93  17.7

Atomic structure:
```
data_KDyH2S2O9
_symmetry_space_group_name_H-M 'P 1'
_symmetry_Int_Tables_number 1
_cell_length_a 10.0682
_cell_length_b 8.8400
_cell_length_c 10.4696
_cell_angle_alpha 90.00
_cell_angle_beta 118.68
_cell_angle_gamma 90.00
loop_
_symmetry_equiv_pos_as_xyz
'x,y,z'
loop_
_atom_site_label
_atom_site_fract_x
_atom_site_fract_y
_atom_site_fract_z
_atom_site_occupancy
K1 0.2183 0.2290 0.2090 1
K2 0.2183 0.2710 0.7090 1
K3 0.7817 0.7290 0.2910 1
K4 0.7817 0.7710 0.7910 1
Dy1 0.2594 0.6321 0.0333 1
Dy2 0.2594 0.8679 0.5333 1
Dy3 0.7406 0.1321 0.4667 1
Dy4 0.7406 0.3679 0.9667 1
H1 0.2421 0.5578 0.5820 1
H2 0.2421 0.9422 0.0820 1
H3 0.2966 0.5344 0.4648 1
H4 0.2966 0.9656 0.9648 1
H5 0.7034 0.0344 0.0352 1
H6 0.7034 0.4656 0.5352 1
H7 0.7579 0.0578 0.9180 1
H8 0.7579 0.4422 0.4180 1
S1 0.0512 0.6410 0.1759 1
S2 0.0512 0.8590 0.6759 1
S3 0.4964 0.2011 0.6111 1
S4 0.4964 0.2989 0.1111 1
S5 0.5036 0.7011 0.8889 1
S6 0.5036 0.7989 0.3889 1
S7 0.9488 0.1410 0.3241 1
S8 0.9488 0.3590 0.8241 1
O1 0.0579 0.7405 0.0618 1
O2 0.0579 0.7595 0.5618 1
O3 0.0652 0.7324 0.2996 1
O4 0.0652 0.7676 0.7996 1
O5 0.0978 0.0614 0.3893 1
O6 0.0978 0.4386 0.8893 1
O7 0.1776 0.5308 0.2182 1
O8 0.1776 0.9692 0.7182 1
O9 0.3069 0.5987 0.5454 1
O10 0.3069 0.9013 0.0454 1
O11 0.3692 0.6230 0.8869 1
O12 0.3692 0.8770 0.3869 1
O13 0.3984 0.0839 0.6269 1
O14 0.3984 0.4161 0.1269 1
O15 0.4119 0.2126 0.9766 1
O16 0.4119 0.2874 0.4766 1
O17 0.4486 0.6969 0.2604 1
O18 0.4486 0.8031 0.7604 1
O19 0.5514 0.1969 0.2396 1
O20 0.5514 0.3031 0.7396 1
O21 0.5881 0.7126 0.5234 1
O22 0.5881 0.7874 0.0234 1
O23 0.6016 0.5839 0.8731 1
O24 0.6016 0.9161 0.3731 1
O25 0.6308 0.1230 0.6131 1
O26 0.6308 0.3770 0.1131 1
O27 0.6931 0.0987 0.9546 1
O28 0.6931 0.4013 0.4546 1
O29 0.8224 0.0308 0.2818 1
O30 0.8224 0.4692 0.7818 1
O31 0.9022 0.5614 0.1107 1
O32 0.9022 0.9386 0.6107 1
O33 0.9348 0.2324 0.2004 1
O34 0.9348 0.2676 0.7004 1
O35 0.9421 0.2405 0.4382 1
O36 0.9421 0.2595 0.9382 1
```



Computed X-ray powder pattern of Hf2CoCuSn2 for λ = 1.5418 Å (Cu Kα), from DFT lattice parameters and positions (GGA-PBE).
Kinematic intensities with the Lorentz-polarization factor, no thermal factor.

Peak list (10 most intense, 2θ from 10° to 90°, by angle)
2theta  I/Imax
23.58  15.6
27.06  16.3
35.65  100.0
41.45  71.0
46.94  14.9
55.80  27.9
59.93  6.7
70.49  13.8
71.84  26.5
75.61  12.2

Atomic structure:
```
data_Hf2CoCuSn2
_symmetry_space_group_name_H-M 'P 1'
_symmetry_Int_Tables_number 1
_cell_length_a 4.3567
_cell_length_b 4.3567
_cell_length_c 6.7656
_cell_angle_alpha 90.00
_cell_angle_beta 90.00
_cell_angle_gamma 120.00
loop_
_symmetry_equiv_pos_as_xyz
'x,y,z'
loop_
_atom_site_label
_atom_site_fract_x
_atom_site_fract_y
_atom_site_fract_z
_atom_site_occupancy
Hf1 0.0000 0.0000 0.0000 1
Hf2 0.0000 0.0000 0.4802 1
Co1 0.3333 0.6667 0.3412 1
Cu1 0.6667 0.3333 0.8343 1
Sn1 0.3333 0.6667 0.7286 1
Sn2 0.6667 0.3333 0.2386 1
```